Theoretical X-ray powder pattern of LiMn3O for Cu Kα X-rays, from DFT lattice parameters and positions (PBE+U).

Structural model:
```
data_LiMn3O
_chemical_formula_sum 'Li1 Mn3 O1'
_symmetry_space_group_name_H-M 'P m -3 m'
_symmetry_Int_Tables_number 221
_symmetry_space_group_name_Hall '-P 4 2 3'
_cell_length_a 4.3942
_cell_length_b 4.3942
_cell_length_c 4.3942
_cell_angle_alpha 90.00
_cell_angle_beta 90.00
_cell_angle_gamma 90.00
loop_
_atom_site_label
_atom_site_fract_x
_atom_site_fract_y
_atom_site_fract_z
Li1 0.0000 0.0000 0.0000
Mn1 0.0000 0.5000 0.5000
O1 0.5000 0.5000 0.5000
```

Peak list (10 most intense, 2θ from 10° to 90°, sorted by position)
- 20.2 deg, 4.394 Å, intensity 63
- 28.7 deg, 3.107 Å, intensity 12
- 35.4 deg, 2.537 Å, intensity 100
- 41.1 deg, 2.197 Å, intensity 70
- 46.2 deg, 1.965 Å, intensity 24
- 59.5 deg, 1.554 Å, intensity 42
- 63.5 deg, 1.465 Å, intensity 10
- 71.2 deg, 1.325 Å, intensity 34
- 74.9 deg, 1.268 Å, intensity 13
- 89.1 deg, 1.099 Å, intensity 6